(1)
Diffraction record for NbFeO4. The X-ray powder pattern is calculated, not measured: it uses a crystal structure in Alexandria, relaxed with PBE+U and λ = 1.5418 Å (Cu Kα).

Atomic structure:
Cell: 5.756 5.756 5.756 Å, 140.15 140.15 57.62°
Positions (direct):
1 Nb 0.000 0.000 0.000
2 Fe 0.750 0.250 0.500
3 O 0.200 0.200 0.000
4 O 0.540 0.040 0.500
5 O 0.800 0.800 0.000
6 O 0.960 0.460 0.500

The 12 most intense peaks (2θ = 10–80°), in order of falling intensity:
2θ (°)	d (Å)	I/Imax
24.3	3.656	100
46.3	1.962	24
53.0	1.728	21
37.0	2.431	20
35.6	2.522	19
50.9	1.794	18
59.7	1.548	15
35.2	2.553	14
71.2	1.324	12
64.8	1.438	9
59.4	1.555	7
67.5	1.387	7

(2)
Diffraction record for NbFe3P6O24. The X-ray powder pattern is calculated, not measured: it uses a crystal structure in Alexandria, relaxed with PBE+U and λ = 1.5418 Å (Cu Kα).

Atomic structure:
Cell: 9.021 9.021 9.021 Å, 58.06 58.06 58.06°
Positions (direct):
1 Nb 0.000 0.000 0.000
2 Fe 0.215 0.215 0.215
3 Fe 0.502 0.502 0.502
4 Fe 0.717 0.717 0.717
5 P 0.110 0.396 0.823
6 P 0.329 0.891 0.605
7 P 0.396 0.823 0.110
8 P 0.605 0.329 0.891
9 P 0.823 0.110 0.396
10 P 0.891 0.605 0.329
11 O 0.056 0.425 0.313
12 O 0.069 0.229 0.862
13 O 0.127 0.368 0.997
14 O 0.146 0.936 0.771
15 O 0.229 0.862 0.069
16 O 0.295 0.398 0.661
17 O 0.313 0.056 0.425
18 O 0.349 0.716 0.596
19 O 0.368 0.997 0.127
20 O 0.398 0.661 0.295
21 O 0.425 0.313 0.056
22 O 0.491 0.859 0.643
23 O 0.577 0.777 0.951
24 O 0.596 0.349 0.716
25 O 0.643 0.491 0.859
26 O 0.661 0.295 0.398
27 O 0.716 0.596 0.349
28 O 0.771 0.146 0.936
29 O 0.777 0.951 0.577
30 O 0.859 0.643 0.491
31 O 0.862 0.069 0.229
32 O 0.936 0.771 0.146
33 O 0.951 0.577 0.777
34 O 0.997 0.127 0.368

The 12 most intense peaks (2θ = 10–80°), in order of falling intensity:
2θ (°)	d (Å)	I/Imax
23.6	3.777	100
19.7	4.506	77
31.5	2.842	58
14.1	6.280	58
28.4	3.140	57
20.3	4.378	41
35.5	2.527	19
51.8	1.766	19
55.5	1.655	17
35.2	2.552	17
45.3	2.003	14
48.2	1.889	14